# Na3Mn2P2C2O14
Theoretical powder diffractogram, a wavelength of 1.5418 Å. Input: DFT lattice parameters and positions (PBE+U).
Peak positions follow from Bragg's law for the DFT cell and can differ from measured ones.

The 12 most intense peaks (2θ = 5–70°), by angle:
Position (°2θ), d/Å, intensity
9.73, 9.095, 100
16.64, 5.329, 37
19.99, 4.442, 15
21.82, 4.074, 18
24.18, 3.681, 16
25.60, 3.480, 29
27.12, 3.288, 34
33.60, 2.667, 26
33.92, 2.643, 11
34.57, 2.595, 20
37.46, 2.401, 12
42.42, 2.131, 12

Structural model:
```
46
Lattice="9.100 0.000 0.000 0.000 6.575 0.000 -0.359 0.000 10.379" Properties=species:S:1:pos:R:3 pbc="T T T"
Na 1.983 0.000 3.993
Na 2.012 3.437 3.869
Na 1.848 6.368 9.131
Na 6.893 3.080 1.248
Na 6.729 0.149 6.510
Na 6.758 3.288 6.386
Mn 3.156 1.710 1.066
Mn 2.981 1.772 6.349
Mn 5.760 5.060 4.030
Mn 5.586 4.998 9.313
P 3.823 4.969 1.471
P 3.684 5.034 6.653
P 5.058 1.746 3.726
P 4.919 1.681 8.908
C 0.542 1.718 6.650
C 0.736 1.660 1.427
C 8.006 4.947 8.952
C 8.199 5.005 3.729
O 0.119 4.994 8.748
O 0.343 4.998 3.625
O 1.332 1.629 0.256
O 1.170 1.776 5.478
O 1.391 1.667 7.641
O 1.647 1.653 2.410
O 2.932 3.736 1.201
O 3.002 6.204 1.038
O 2.848 3.814 6.211
O 2.840 6.269 6.255
O 3.672 1.753 4.439
O 3.554 1.592 9.620
O 4.071 5.055 3.031
O 3.946 5.043 8.194
O 4.796 1.755 2.185
O 4.671 1.767 7.348
O 5.188 4.880 0.759
O 5.070 5.041 5.940
O 5.894 0.526 4.167
O 5.902 2.981 4.124
O 5.740 2.916 9.341
O 5.810 0.448 9.178
O 7.094 4.940 7.968
O 7.350 4.955 2.738
O 7.572 5.064 4.901
O 7.410 4.917 10.123
O 8.398 1.710 6.754
O 8.623 1.707 1.631
```